Entry 1:
For Ba4ZrNb9O18, a DFT-relaxed cell (GGA-PBE, the Materials Project) gives the calculated XRD peak list in this record (Cu Kα).

Unit cell a=5.9903 b=5.9903 c=24.9393 alpha=90.00 beta=90.00 gamma=90.00
Space group I4/mmm (No. 139)
Unique sites:
Ba  0.0000  0.5000  0.0845
Zr  0.0000  0.0000  0.0000
Nb  0.0000  0.0000  0.1688
Nb  0.0000  0.0000  0.3312
Nb  0.0000  0.0000  0.5000
Nb  0.2500  0.2500  0.2500
O  0.0000  0.0000  0.0831
O  0.0000  0.0000  0.4196
O  0.0000  0.5000  0.2500
O  0.2442  0.2442  0.5000
O  0.2501  0.2501  0.1643

Peak list (8 most intense, 2θ from 10° to 90°, in order of rising 2θ)
- 2θ = 29.83°, I = 170, (2 0 0)
- 2θ = 30.12°, I = 1000, (1 1 6)
- 2θ = 30.70°, I = 331, (2 0 2)
- 2θ = 33.18°, I = 275, (2 0 4)
- 2θ = 42.69°, I = 521, (2 2 0)
- 2θ = 43.55°, I = 243, (0 0 12)
- 2θ = 53.13°, I = 399, (3 1 6)
- 2θ = 62.63°, I = 308, (2 2 12)

---

Entry 2:
For Ba3ZrNb5O12, a DFT-relaxed cell (GGA-PBE, the Materials Project) gives the calculated XRD peak list in this record (Cu Kα).

Unit cell a=5.9869 b=5.9869 c=16.6741 alpha=90.00 beta=90.00 gamma=90.00
Space group P4/nmm (No. 129, origin choice 2)
Unique sites:
Ba  0.2500  0.7500  0.0000
Ba  0.2500  0.7500  0.2543
Zr  0.2500  0.2500  0.1264
Nb  0.0000  0.0000  0.5000
Nb  0.2500  0.2500  0.3790
Nb  0.2500  0.2500  0.6213
Nb  0.2500  0.2500  0.8732
O  0.9999  0.9999  0.3717
O  0.0049  0.0049  0.8762
O  0.2500  0.2500  0.2494
O  0.2500  0.2500  0.7539
O  0.2500  0.2500  0.9967
O  0.2500  0.7500  0.5000

Peak list (8 most intense, 2θ from 10° to 90°, in order of rising 2θ)
- 2θ = 29.85°, I = 248, (2 0 0)
- 2θ = 30.09°, I = 1000, (1 1 4)
- 2θ = 30.34°, I = 171, (2 0 1)
- 2θ = 31.76°, I = 158, (2 0 2)
- 2θ = 42.72°, I = 461, (2 2 0)
- 2θ = 43.42°, I = 215, (0 0 8)
- 2θ = 53.13°, I = 400, (3 1 4)
- 2θ = 62.54°, I = 271, (2 2 8)